# 1
Simulated powder X-ray diffraction pattern of ThZrCdTc for CuKα, from a cell relaxed with PBE.

Structure:
a b c (Å): 5.0393 5.0393 5.0393
angles (deg): 60.00 60.00 60.00
Fractional coordinates of all 4 atoms:
Th (0.0000, 0.0000, 0.0000)
Zr (0.5000, 0.5000, 0.5000)
Cd (0.2500, 0.2500, 0.2500)
Tc (0.7500, 0.7500, 0.7500)

Top 8 peaks for 2θ from 10° to 80°, by angle:
2θ (°), intensity
21.60, 13.4
24.99, 4.2
35.63, 100.0
42.05, 7.9
51.28, 17.6
56.27, 3.5
64.00, 35.8
75.46, 11.1


# 2
Simulated powder X-ray diffraction pattern of Ce2Pr3Ru4 for CuKα, from a cell relaxed with PBE.

Structure:
a b c (Å): 6.0158 6.0158 9.1547
angles (deg): 100.41 100.41 41.78
Fractional coordinates of all 9 atoms:
Ce (0.1750, 0.1750, 0.2840)
Ce (0.8250, 0.8250, 0.7160)
Pr (0.1230, 0.1230, 0.8868)
Pr (0.5000, 0.5000, 0.5000)
Pr (0.8770, 0.8770, 0.1132)
Ru (0.2172, 0.2172, 0.5975)
Ru (0.4085, 0.4085, 0.8673)
Ru (0.5915, 0.5915, 0.1327)
Ru (0.7828, 0.7828, 0.4025)

Top 8 peaks for 2θ from 10° to 80°, by angle:
2θ (°), intensity
28.84, 33.6
31.11, 44.7
32.06, 100.0
35.28, 30.0
38.82, 68.9
40.48, 26.6
42.12, 43.3
61.69, 25.5


# 3
Simulated powder X-ray diffraction pattern of AgPtI5 for CuKα, from a cell relaxed with PBE.

Structure:
a b c (Å): 8.3366 8.3366 10.3163
angles (deg): 104.09 104.09 51.73
Fractional coordinates of all 14 atoms:
Ag (0.0463, 0.9537, 0.7500)
Ag (0.9537, 0.0463, 0.2500)
Pt (0.5000, 0.5000, 0.0000)
Pt (0.5000, 0.5000, 0.5000)
I (0.0983, 0.6918, 0.5142)
I (0.1568, 0.5306, 0.8870)
I (0.3082, 0.9017, 0.9858)
I (0.3509, 0.6491, 0.2500)
I (0.4694, 0.8432, 0.6130)
I (0.5306, 0.1568, 0.3870)
I (0.6491, 0.3509, 0.7500)
I (0.6918, 0.0983, 0.0142)
I (0.8432, 0.4694, 0.1130)
I (0.9017, 0.3082, 0.4858)

Top 8 peaks for 2θ from 10° to 80°, by angle:
2θ (°), intensity
12.26, 100.0
25.74, 39.4
26.30, 26.4
27.84, 45.7
28.74, 39.1
35.02, 32.0
36.22, 29.8
42.70, 33.6


# 4
Simulated powder X-ray diffraction pattern of SnHgTe3 for CuKα, from a cell relaxed with PBE.

Structure:
a b c (Å): 11.1917 4.4802 12.8301
angles (deg): 90.00 90.00 90.00
Fractional coordinates of all 20 atoms:
Sn (0.1704, 0.2500, 0.0329)
Sn (0.3296, 0.7500, 0.5329)
Sn (0.6704, 0.2500, 0.4671)
Sn (0.8296, 0.7500, 0.9671)
Hg (0.0279, 0.2500, 0.6367)
Hg (0.4721, 0.7500, 0.1367)
Hg (0.5279, 0.2500, 0.8633)
Hg (0.9721, 0.7500, 0.3633)
Te (0.0330, 0.7500, 0.1309)
Te (0.1535, 0.2500, 0.4218)
Te (0.1885, 0.7500, 0.7380)
Te (0.3115, 0.2500, 0.2380)
Te (0.3465, 0.7500, 0.9218)
Te (0.4670, 0.2500, 0.6309)
Te (0.5330, 0.7500, 0.3691)
Te (0.6535, 0.2500, 0.0782)
Te (0.6885, 0.7500, 0.7620)
Te (0.8115, 0.2500, 0.2620)
Te (0.8465, 0.7500, 0.5782)
Te (0.9670, 0.2500, 0.8691)

Top 8 peaks for 2θ from 10° to 80°, by angle:
2θ (°), intensity
26.23, 27.3
26.41, 100.0
29.08, 36.5
32.17, 40.8
38.58, 17.6
40.26, 32.6
40.52, 66.4
52.44, 22.3


# 5
Simulated powder X-ray diffraction pattern of Tm5Te4Au for CuKα, from a cell relaxed with PBE.

Structure:
a b c (Å): 7.4505 7.4505 7.4505
angles (deg): 99.53 99.53 131.98
Fractional coordinates of all 10 atoms:
Tm (0.0000, 0.0000, 0.0000)
Tm (0.2270, 0.5970, 0.8240)
Tm (0.4030, 0.2270, 0.6300)
Tm (0.5970, 0.7730, 0.3700)
Tm (0.7730, 0.4030, 0.1760)
Te (0.0881, 0.3090, 0.3971)
Te (0.3090, 0.9119, 0.2209)
Te (0.6910, 0.0881, 0.7791)
Te (0.9119, 0.6910, 0.6029)
Au (0.5000, 0.5000, 0.0000)

Top 8 peaks for 2θ from 10° to 80°, by angle:
2θ (°), intensity
29.34, 89.5
29.46, 47.7
42.04, 100.0
52.12, 34.4
69.03, 24.8
69.24, 15.5
76.75, 17.4
76.93, 11.0


# 6
Simulated powder X-ray diffraction pattern of Zr2BiTe for CuKα, from a cell relaxed with PBE.

Structure:
a b c (Å): 7.8316 7.2920 7.2266
angles (deg): 90.00 90.04 90.00
Fractional coordinates of all 16 atoms:
Zr (0.1170, 0.1876, 0.4943)
Zr (0.1170, 0.3124, 0.9943)
Zr (0.3625, 0.6891, 0.0045)
Zr (0.3625, 0.8109, 0.5045)
Zr (0.6375, 0.1891, 0.4955)
Zr (0.6375, 0.3109, 0.9955)
Zr (0.8830, 0.6876, 0.0057)
Zr (0.8830, 0.8124, 0.5057)
Bi (0.3783, 0.0791, 0.2022)
Bi (0.3783, 0.4209, 0.7022)
Bi (0.6217, 0.5791, 0.2978)
Bi (0.6217, 0.9209, 0.7978)
Te (0.1235, 0.5731, 0.2959)
Te (0.1235, 0.9269, 0.7959)
Te (0.8765, 0.0731, 0.2041)
Te (0.8765, 0.4269, 0.7041)

Top 8 peaks for 2θ from 10° to 80°, by angle:
2θ (°), intensity
27.40, 50.7
28.67, 100.0
34.96, 32.3
35.87, 31.4
35.99, 63.5
39.39, 24.7
43.84, 33.3
46.38, 22.7


# 7
Simulated powder X-ray diffraction pattern of BaNpCl5 for CuKα, from a cell relaxed with PBE.

Structure:
a b c (Å): 7.7485 7.7485 10.6127
angles (deg): 110.38 110.38 70.71
Fractional coordinates of all 14 atoms:
Ba (0.0500, 0.9500, 0.7500)
Ba (0.9500, 0.0500, 0.2500)
Np (0.5000, 0.5000, 0.0000)
Np (0.5000, 0.5000, 0.5000)
Cl (0.1812, 0.7886, 0.0269)
Cl (0.2114, 0.8188, 0.4731)
Cl (0.2364, 0.2966, 0.3816)
Cl (0.2966, 0.2364, 0.8816)
Cl (0.4100, 0.5900, 0.7500)
Cl (0.5900, 0.4100, 0.2500)
Cl (0.7034, 0.7636, 0.1184)
Cl (0.7636, 0.7034, 0.6184)
Cl (0.7886, 0.1812, 0.5269)
Cl (0.8188, 0.2114, 0.9731)

Top 8 peaks for 2θ from 10° to 80°, by angle:
2θ (°), intensity
12.55, 25.4
15.51, 95.6
19.44, 100.0
19.80, 45.2
31.31, 38.4
33.78, 24.1
34.44, 31.8
37.27, 46.0


# 8
Simulated powder X-ray diffraction pattern of Ti5CdIn2 for CuKα, from a cell relaxed with PBE.

Structure:
a b c (Å): 9.1397 9.1397 9.1397
angles (deg): 153.79 153.79 37.41
Fractional coordinates of all 8 atoms:
Ti (0.0000, 0.0000, 0.0000)
Ti (0.1204, 0.6204, 0.5000)
Ti (0.3796, 0.8796, 0.5000)
Ti (0.6204, 0.1204, 0.5000)
Ti (0.8796, 0.3796, 0.5000)
Cd (0.5000, 0.5000, 0.0000)
In (0.2498, 0.2498, 0.0000)
In (0.7502, 0.7502, 0.0000)

Top 8 peaks for 2θ from 10° to 80°, by angle:
2θ (°), intensity
20.52, 13.6
30.50, 10.5
37.04, 100.0
41.73, 17.4
43.68, 30.8
62.00, 20.0
73.10, 12.3
75.84, 21.8


# 9
Simulated powder X-ray diffraction pattern of Zr6Al2CoH10 for CuKα, from a cell relaxed with PBE.

Structure:
a b c (Å): 8.0886 8.0886 7.1404
angles (deg): 90.00 90.00 120.00
Fractional coordinates of all 38 atoms:
Zr (0.0000, 0.7382, 0.0000)
Zr (0.0000, 0.7382, 0.5000)
Zr (0.0482, 0.4232, 0.2500)
Zr (0.2618, 0.2618, 0.0000)
Zr (0.2618, 0.2618, 0.5000)
Zr (0.3749, 0.9518, 0.2500)
Zr (0.4232, 0.0482, 0.7500)
Zr (0.5768, 0.6251, 0.2500)
Zr (0.6251, 0.5768, 0.7500)
Zr (0.7382, 0.0000, 0.0000)
Zr (0.7382, 0.0000, 0.5000)
Zr (0.9518, 0.3749, 0.7500)
Al (0.3333, 0.6667, 0.5521)
Al (0.3333, 0.6667, 0.9479)
Al (0.6667, 0.3333, 0.0521)
Al (0.6667, 0.3333, 0.4479)
Co (0.0000, 0.0000, 0.2500)
Co (0.0000, 0.0000, 0.7500)
H (0.0000, 0.0000, 0.0000)
H (0.0000, 0.0000, 0.5000)
H (0.0000, 0.2797, 0.0000)
H (0.0000, 0.2797, 0.5000)
H (0.1151, 0.7059, 0.2500)
H (0.1166, 0.2358, 0.7500)
H (0.1192, 0.8834, 0.7500)
H (0.2358, 0.1166, 0.2500)
H (0.2797, 0.0000, 0.0000)
H (0.2797, 0.0000, 0.5000)
H (0.2941, 0.4092, 0.2500)
H (0.4092, 0.2941, 0.7500)
H (0.5908, 0.8849, 0.2500)
H (0.7059, 0.1151, 0.7500)
H (0.7203, 0.7203, 0.0000)
H (0.7203, 0.7203, 0.5000)
H (0.7642, 0.8808, 0.7500)
H (0.8808, 0.7642, 0.2500)
H (0.8834, 0.1192, 0.2500)
H (0.8849, 0.5908, 0.7500)

Top 8 peaks for 2θ from 10° to 80°, by angle:
2θ (°), intensity
33.48, 100.0
33.86, 56.0
35.92, 51.6
36.18, 19.8
38.56, 30.7
42.51, 19.3
62.78, 17.7
63.48, 25.3


# 10
Simulated powder X-ray diffraction pattern of HgOs2 for CuKα, from a cell relaxed with PBE.

Structure:
a b c (Å): 2.8271 2.8271 14.4342
angles (deg): 90.00 90.00 120.00
Fractional coordinates of all 6 atoms:
Hg (0.3333, 0.6667, 0.1048)
Hg (0.6667, 0.3333, 0.8952)
Os (0.3333, 0.6667, 0.4258)
Os (0.3333, 0.6667, 0.7177)
Os (0.6667, 0.3333, 0.2823)
Os (0.6667, 0.3333, 0.5742)

Top 8 peaks for 2θ from 10° to 80°, by angle:
2θ (°), intensity
36.71, 28.0
37.38, 15.5
41.38, 100.0
44.73, 14.7
58.52, 10.5
66.10, 20.6
76.63, 12.0
78.48, 11.3


# 11
Simulated powder X-ray diffraction pattern of NaAg2HCl4 for CuKα, from a cell relaxed with PBE.

Structure:
a b c (Å): 7.1981 5.4977 7.0269
angles (deg): 68.92 45.45 65.63
Fractional coordinates of all 8 atoms:
Na (0.0000, 0.0000, 0.0000)
Ag (0.2384, 0.2384, 0.2616)
Ag (0.7384, 0.7384, 0.7616)
H (0.6804, 0.6804, 0.3196)
Cl (0.2203, 0.7533, 0.2467)
Cl (0.5005, 0.9159, 0.4995)
Cl (0.7533, 0.2203, 0.7797)
Cl (0.9159, 0.5005, 0.0841)

Top 8 peaks for 2θ from 10° to 80°, by angle:
2θ (°), intensity
14.87, 90.5
22.00, 37.9
23.87, 27.7
30.00, 67.2
32.68, 100.0
36.08, 49.2
38.69, 20.3
44.94, 93.9


# 12
Simulated powder X-ray diffraction pattern of Ho12TlCo5 for CuKα, from a cell relaxed with PBE.

Structure:
a b c (Å): 8.2371 8.2371 8.2371
angles (deg): 110.71 110.69 107.04
Fractional coordinates of all 18 atoms:
Ho (0.0091, 0.8142, 0.1949)
Ho (0.2096, 0.5170, 0.3074)
Ho (0.2096, 0.9022, 0.6926)
Ho (0.2909, 0.3147, 0.6056)
Ho (0.2909, 0.6853, 0.9762)
Ho (0.3806, 0.1858, 0.1949)
Ho (0.6194, 0.8142, 0.8051)
Ho (0.7091, 0.3147, 0.0238)
Ho (0.7091, 0.6853, 0.3944)
Ho (0.7904, 0.0978, 0.3074)
Ho (0.7904, 0.4830, 0.6926)
Ho (0.9909, 0.1858, 0.8051)
Tl (0.5000, 0.0000, 0.5000)
Co (0.0000, 0.1219, 0.1219)
Co (0.0000, 0.5000, 0.5000)
Co (0.0000, 0.8781, 0.8781)
Co (0.3873, 0.3873, 0.0000)
Co (0.6127, 0.6127, 0.0000)

Top 8 peaks for 2θ from 10° to 80°, by angle:
2θ (°), intensity
30.04, 30.2
30.17, 35.4
32.64, 100.0
34.84, 53.7
35.42, 52.0
35.76, 43.6
38.44, 27.1
60.67, 28.3